Starting from a DFT-relaxed cell (GGA+U, Alexandria), the PXRD pattern of Mn3Cr2Sb3O16 was calculated for Cu Ka.
No peak broadening, texture or thermal motion is included.

Crystal structure
Cell: 10.600 6.032 9.053 Å, 90.00 90.13 90.00°
Space group Cm (No. 8)
One atom of each set of equivalent atoms:
Mn1 0.000 0.000 0.000
Mn2 0.417 0.249 0.494
Cr1 0.161 0.000 0.278
Cr2 0.490 0.000 0.768
Sb1 0.167 0.500 0.495
Sb2 0.249 0.249 0.994
O1 0.065 0.282 0.622
O2 0.093 0.214 0.122
O3 0.164 0.500 0.880
O4 0.180 0.000 0.870
O5 0.249 0.250 0.389
O6 0.309 0.000 0.132
O7 0.318 0.500 0.112
O8 0.337 0.500 0.601
O9 0.356 0.000 0.614
O10 0.414 0.253 0.890
O11 0.492 0.500 0.387
O12 0.495 0.000 0.384

Principal peaks in the range 5 to 70 degrees two-theta, sorted by position:
hkl, 2theta, intensity
2 0 1, 19.42, 26
0 0 2, 19.59, 100
2 2 0, 34.20, 15
4 0 -1, 35.29, 19
3 1 -2, 35.50, 19
2 2 -1, 35.66, 37
2 2 2, 39.74, 17
2 2 3, 45.86, 30
6 2 0, 60.75, 17
2 2 -5, 62.32, 18